(1)
Structure and computed PXRD pattern of AlTlI5 (the PBE geometry in Alexandria; a wavelength of 1.5418 Å).
Kinematic intensities with the Lorentz-polarization factor, no thermal factor.

Most intense lines, 5° ≤ 2θ ≤ 70°, sorted by position:
2theta	d/Å	I_rel
15.81	5.605	87
16.93	5.237	85
17.55	5.053	73
22.72	3.914	65
24.79	3.591	60
25.15	3.541	69
26.73	3.335	100
27.19	3.280	90
35.55	2.525	61
42.09	2.147	56

Crystal structure
a = 8.6079 Å, b = 8.8651 Å, c = 10.5991 Å
α = 111.26°, β = 104.34°, γ = 99.98°
Fractional positions:
Al1 0.1699 0.4489 0.2765
Al2 0.8301 0.5511 0.7235
Tl1 0.0000 0.0000 0.5000
Tl2 0.5000 0.0000 0.0000
I1 0.1210 0.6754 0.9128
I2 0.1996 0.1570 0.7951
I3 0.2130 0.3463 0.4759
I4 0.2731 0.7745 0.3994
I5 0.3918 0.3767 0.1507
I6 0.6082 0.6233 0.8493
I7 0.7269 0.2255 0.6006
I8 0.7870 0.6537 0.5241
I9 0.8004 0.8430 0.2049
I10 0.8790 0.3246 0.0872

***

(2)
Structure and computed PXRD pattern of AlVI (the PBE geometry in Alexandria; a wavelength of 1.5418 Å).
Kinematic intensities with the Lorentz-polarization factor, no thermal factor.

Most intense lines, 5° ≤ 2θ ≤ 70°, sorted by position:
2theta	d/Å	I_rel
6.86	12.880	100
20.69	4.293	25
30.43	2.937	25
31.24	2.864	45
33.53	2.672	28
37.09	2.424	64
41.62	2.170	50
54.08	1.696	25
59.26	1.559	18
67.40	1.390	11

Crystal structure
a = 12.8805 Å, b = 3.3913 Å, c = 3.3913 Å
α = 60.01°, β = 90.00°, γ = 90.00°
Fractional positions:
Al1 0.1376 0.0000 0.0000
Al2 0.8624 0.0000 0.0000
V1 0.0000 0.3334 0.3334
V2 0.5000 0.3320 0.3320
I1 0.3531 0.6653 0.6653
I2 0.6469 0.6653 0.6653

***

Question: What is the formula in the second record?
Answer: AlVI